For NdRe, a crystal structure in OQMD, relaxed with PBE gives the computed powder diffractogram in this record (Cu Kα).
No peak broadening, texture or thermal motion is included.

Atomic structure:
```
data_NdRe
_chemical_formula_sum 'Nd1 Re1'
_symmetry_space_group_name_H-M 'P -6 m 2'
_symmetry_Int_Tables_number 187
_symmetry_space_group_name_Hall 'P -6 2'
_cell_length_a 3.1305
_cell_length_b 3.1305
_cell_length_c 5.0226
_cell_angle_alpha 90.00
_cell_angle_beta 90.00
_cell_angle_gamma 120.00
loop_
_atom_site_label
_atom_site_type_symbol
_atom_site_fract_x
_atom_site_fract_y
_atom_site_fract_z
Nd1 Nd 0.0000 0.0000 0.0000
Re1 Re 0.6667 0.3333 0.5000
```

Most intense lines, 2θ from 10° to 90°, in order of falling intensity:
| d [Å] | Position (°2θ) | Rel. int. | (hkl) |
| --- | --- | --- | --- |
| 2.386 | 37.7 | 100.0 | 1 0 1 |
| 2.511 | 35.8 | 25.6 | 0 0 2 |
| 2.711 | 33.0 | 24.7 | 1 0 0 |
| 1.328 | 71.0 | 21.0 | 1 1 2 |
| 1.424 | 65.5 | 20.0 | 1 0 3 |
| 1.565 | 59.0 | 18.2 | 1 1 0 |
| 1.842 | 49.5 | 16.1 | 1 0 2 |
| 1.309 | 72.2 | 15.1 | 2 0 1 |